Structure and calculated powder diffraction line list of LaZrMoO6 (a cell relaxed with GGA+U; λ = 1.5418 Å (Cu Kα)).
Lines closer than 0.1° are merged.

The 10 most intense peaks (10° ≤ 2θ ≤ 90°), by intensity:
| h k l | 2θ (°) | I_rel |
| --- | --- | --- |
| 1 1 0 | 25.1 | 100 |
| 1 0 3 | 31.8 | 84 |
| 2 1 3 | 48.6 | 67 |
| 2 0 0 | 35.8 | 21 |
| 3 0 3 | 61.8 | 19 |
| 2 2 0 | 51.5 | 18 |
| 1 1 6 | 60.5 | 16 |
| 3 1 0 | 58.1 | 16 |
| 3 2 3 | 73.5 | 14 |
| 4 1 3 | 84.5 | 12 |

Structure:
```
data_LaZrMoO6
_chemical_formula_sum 'La2 Zr2 Mo2 O12'
_cell_length_a 5.0216
_cell_length_b 5.0216
_cell_length_c 10.1730
_cell_angle_alpha 90.00
_cell_angle_beta 90.00
_cell_angle_gamma 90.00
_symmetry_space_group_name_H-M 'P 1'
_symmetry_Int_Tables_number 1
_symmetry_space_group_name_Hall 'P 1'
loop_
_atom_site_label
_atom_site_type_symbol
_atom_site_fract_x
_atom_site_fract_y
_atom_site_fract_z
La1 La 0.0000 0.0000 0.0000
La2 La 0.5000 0.5000 0.5000
Zr1 Zr 0.0000 0.0000 0.3421
Zr2 Zr 0.5000 0.5000 0.8421
Mo1 Mo 0.0000 0.0000 0.6708
Mo2 Mo 0.5000 0.5000 0.1708
O1 O 0.1739 0.1739 0.5115
O2 O 0.2084 0.2084 0.8160
O3 O 0.2287 0.2287 0.1916
O4 O 0.2713 0.7287 0.6916
O5 O 0.2916 0.7084 0.3160
O6 O 0.3261 0.6739 0.0115
O7 O 0.6739 0.3261 0.0115
O8 O 0.7084 0.2916 0.3160
O9 O 0.7287 0.2713 0.6916
O10 O 0.7713 0.7713 0.1916
O11 O 0.7916 0.7916 0.8160
O12 O 0.8261 0.8261 0.5115
```